Entry 1:
Tm2CdCu2: theoretical powder diffraction line list (a wavelength of 1.5418 Å), based on DFT lattice parameters and positions (PBE).
No peak broadening, texture or thermal motion is included.

The 10 most intense peaks (5 to 70 degrees two-theta), sorted by position:
d_spacing  Position (°2θ)  I/Imax
3.353  26.6  22
2.651  33.8  15
2.592  34.6  57
2.450  36.7  100
2.371  37.9  43
1.819  50.2  17
1.794  50.9  15
1.622  56.8  19
1.585  58.2  18
1.431  65.2  17

Crystal structure
```
data_Tm2CdCu2
_chemical_formula_sum 'Tm4 Cd2 Cu4'
_cell_length_a 7.4983
_cell_length_b 7.4983
_cell_length_c 3.5878
_cell_angle_alpha 90.00
_cell_angle_beta 90.00
_cell_angle_gamma 90.00
_symmetry_space_group_name_H-M 'P 4/m b m'
_symmetry_Int_Tables_number 127
_symmetry_space_group_name_Hall '-P 4 2ab'
loop_
_atom_site_label
_atom_site_fract_x
_atom_site_fract_y
_atom_site_fract_z
_atom_site_occupancy
Tm1 0.1758 0.3242 0.0000 1
Cd1 0.0000 0.0000 0.5000 1
Cu1 0.1175 0.6175 0.5000 1
```

Entry 2:
CaMg6Mn: theoretical powder diffraction line list (a wavelength of 1.5418 Å), based on DFT lattice parameters and positions (PBE).
No peak broadening, texture or thermal motion is included.

The 10 most intense peaks (5 to 70 degrees two-theta), sorted by position:
d_spacing  Position (°2θ)  I/Imax
5.608  15.8  13
2.817  31.8  26
2.800  32.0  14
2.581  34.8  37
2.473  36.3  100
2.461  36.5  48
1.903  47.8  15
1.620  56.8  16
1.469  63.3  18
1.372  68.4  18

Crystal structure
```
data_CaMg6Mn
_chemical_formula_sum 'Ca2 Mg12 Mn2'
_cell_length_a 5.1626
_cell_length_b 6.5190
_cell_length_c 11.2004
_cell_angle_alpha 90.00
_cell_angle_beta 90.00
_cell_angle_gamma 90.00
_symmetry_space_group_name_H-M 'A m m 2'
_symmetry_Int_Tables_number 38
_symmetry_space_group_name_Hall 'A 2 -2'
loop_
_atom_site_label
_atom_site_fract_x
_atom_site_fract_y
_atom_site_fract_z
_atom_site_occupancy
Ca1 0.0000 0.0000 0.0000 1
Mg1 0.0000 0.2470 0.7480 1
Mg2 0.5000 0.0000 0.3370 1
Mg3 0.5000 0.0000 0.8284 1
Mg4 0.5000 0.2366 0.5815 1
Mn1 0.0000 0.0000 0.5020 1
```

Question: Which formula does entry 2 have?
Answer: CaMg6Mn